Ba3MgMn3O9: simulated powder XRD pattern (λ = 1.5418 Å (Cu Kα)), based on a crystal structure in the Materials Project, relaxed with PBE+U.
No peak broadening, texture or thermal motion is included.

Crystal structure
```
data_Ba3MgMn3O9
_cell_length_a 10.467
_cell_length_b 5.736
_cell_length_c 8.941
_cell_angle_alpha 90.00
_cell_angle_beta 122.41
_cell_angle_gamma 90.00
_symmetry_space_group_name_H-M 'C 1 m 1'
_symmetry_Int_Tables_number 8
loop_
_symmetry_equiv_pos_as_xyz
'x,y,z'
'x,-y,z'
'x+1/2,y+1/2,z'
'x+1/2,-y+1/2,z'
loop_
_atom_site_label
_atom_site_type_symbol
_atom_site_fract_x
_atom_site_fract_y
_atom_site_fract_z
_atom_site_occupancy
Ba1 Ba 0.000 0.000 0.000 1
Ba2 Ba 0.061 0.500 0.791 1
Ba3 Ba 0.350 0.500 0.330 1
Mg1 Mg 0.149 0.500 0.525 1
Mn1 Mn 0.226 0.000 0.477 1
Mn2 Mn 0.249 0.000 0.837 1
Mn3 Mn 0.435 0.000 0.188 1
O1 O 0.041 0.000 0.716 1
O2 O 0.093 0.266 0.322 1
O3 O 0.265 0.235 0.694 1
O4 O 0.277 0.223 0.032 1
O5 O 0.408 0.000 0.410 1
O6 O 0.478 0.000 0.007 1
```

Most intense lines, 2θ from 10° to 90°, most intense first:
30.90°, intensity 100; 31.19°, intensity 80; 25.39°, intensity 70; 30.31°, intensity 69; 42.65°, intensity 65; 28.35°, intensity 63; 35.09°, intensity 51; 62.37°, intensity 41; 24.68°, intensity 34; 43.82°, intensity 34